Calculated X-ray powder pattern
Compound: SrSnP2O8
Radiation: Cu Kα
Structure: a crystal structure in Alexandria, relaxed with GGA-PBE
Peak positions follow from Bragg's law for the DFT cell and can differ from measured ones.

Main lines, in order of falling intensity (2θ = 10–90°):
| d/Å | I (rel.) |
| --- | --- |
| 2.931 | 1000 |
| 4.451 | 934 |
| 2.866 | 888 |
| 4.131 | 767 |
| 2.442 | 685 |
| 3.884 | 494 |
| 7.635 | 409 |
| 2.642 | 376 |

Structure:
```
SrSnP2O8
1.0
8.5346 -2.6419 0.0000
8.5346 2.6419 0.0000
-3.6955 0.0000 7.3973
Sr Sn P O
2 2 4 16
Direct
0.1750 0.8250 0.7500
0.8250 0.1750 0.2500
0.0000 0.5000 0.5000
0.5000 0.0000 0.0000
0.1209 0.5964 0.2458
0.4036 0.8791 0.2542
0.5964 0.1209 0.7458
0.8791 0.4036 0.7542
0.0509 0.5095 0.2901
0.1161 0.2004 0.8946
0.1687 0.7288 0.4018
0.2004 0.1161 0.3946
0.2712 0.8313 0.0982
0.3379 0.3796 0.6504
0.3796 0.3379 0.1504
0.4905 0.9491 0.2099
0.5095 0.0509 0.7901
0.6204 0.6621 0.8496
0.6621 0.6204 0.3496
0.7288 0.1687 0.9018
0.7996 0.8839 0.6054
0.8313 0.2712 0.5982
0.8839 0.7996 0.1054
0.9491 0.4905 0.7099
```

---

Calculated X-ray powder pattern
Compound: Ta8Nb
Radiation: Cu Kα
Structure: a crystal structure in Alexandria, relaxed with GGA-PBE
Peak positions follow from Bragg's law for the DFT cell and can differ from measured ones.

Main lines, in order of falling intensity (2θ = 10–90°):
| d/Å | I (rel.) |
| --- | --- |
| 2.344 | 1000 |
| 1.353 | 356 |
| 1.656 | 116 |
| 1.173 | 76 |
| 1.660 | 58 |
| 1.171 | 38 |
| 7.027 | 14 |
| 3.146 | 9 |

Structure:
```
Ta8Nb
1.0
-4.9689 4.9689 1.6603
4.9689 -4.9689 1.6603
4.9689 4.9689 -1.6603
Ta Nb
8 1
Direct
0.0000 0.3341 0.3341
0.0000 0.6659 0.6659
0.3341 0.0000 0.3341
0.3335 0.3335 0.6670
0.3335 0.6665 0.0000
0.6659 0.0000 0.6659
0.6665 0.3335 0.0000
0.6665 0.6665 0.3330
0.0000 0.0000 0.0000
```

---

Calculated X-ray powder pattern
Compound: RbAlTlF6
Radiation: Cu Kα
Structure: a crystal structure in Alexandria, relaxed with GGA-PBE
Peak positions follow from Bragg's law for the DFT cell and can differ from measured ones.

Main lines, in order of falling intensity (2θ = 10–90°):
| d/Å | I (rel.) |
| --- | --- |
| 3.788 | 1000 |
| 2.041 | 358 |
| 2.934 | 305 |
| 1.820 | 287 |
| 2.320 | 270 |
| 5.682 | 248 |
| 5.082 | 244 |
| 2.480 | 155 |

Structure:
```
RbAlTlF6
1.0
5.8685 0.0000 0.0000
-2.9343 5.0823 0.0000
0.0000 0.0000 5.6816
Rb Al Tl F
1 1 1 6
Direct
0.0000 0.0000 0.0000
0.6667 0.3333 0.5000
0.3333 0.6667 0.5000
0.4154 0.0720 0.6873
0.4154 0.3434 0.3127
0.6566 0.0720 0.3127
0.6566 0.5846 0.6873
0.9280 0.3434 0.6873
0.9280 0.5846 0.3127
```

---

Copy entry 2 word for word.
Calculated X-ray powder pattern
Compound: Ta8Nb
Radiation: Cu Kα
Structure: a crystal structure in Alexandria, relaxed with GGA-PBE
Peak positions follow from Bragg's law for the DFT cell and can differ from measured ones.

Main lines, in order of falling intensity (2θ = 10–90°):
| d/Å | I (rel.) |
| --- | --- |
| 2.344 | 1000 |
| 1.353 | 356 |
| 1.656 | 116 |
| 1.173 | 76 |
| 1.660 | 58 |
| 1.171 | 38 |
| 7.027 | 14 |
| 3.146 | 9 |

Structure:
```
Ta8Nb
1.0
-4.9689 4.9689 1.6603
4.9689 -4.9689 1.6603
4.9689 4.9689 -1.6603
Ta Nb
8 1
Direct
0.0000 0.3341 0.3341
0.0000 0.6659 0.6659
0.3341 0.0000 0.3341
0.3335 0.3335 0.6670
0.3335 0.6665 0.0000
0.6659 0.0000 0.6659
0.6665 0.3335 0.0000
0.6665 0.6665 0.3330
0.0000 0.0000 0.0000
```